1.
For CaCrO2, the PBE+U geometry in the Materials Project gives the theoretical XRD peak list in this record (a wavelength of 1.5418 Å).
Lines closer than 0.1° are merged.

Crystal structure
```
data_CaCrO2
_symmetry_space_group_name_H-M 'C 1 2/m 1'
_symmetry_Int_Tables_number 12
_symmetry_space_group_name_Hall '-C 2y'
_cell_length_a 18.2472
_cell_length_b 3.0986
_cell_length_c 9.5243
_cell_angle_alpha 90.00
_cell_angle_beta 114.04
_cell_angle_gamma 90.00
loop_
_atom_site_label
_atom_site_fract_x
_atom_site_fract_y
_atom_site_fract_z
Ca1 0.0141 0.0000 0.3007
Ca2 0.1723 0.5000 0.7078
Cr1 0.1461 0.5000 0.0032
Cr2 0.1883 0.0000 0.3622
O1 0.1096 0.5000 0.3375
O2 0.1237 0.0000 0.8366
O3 0.1842 0.0000 0.1501
O4 0.2284 0.0000 0.5954
```

The 10 most intense peaks (2θ from 15° to 90°), by intensity:
30.84 deg, d 2.899, intensity 1000
45.79 deg, d 1.982, intensity 953
32.23 deg, d 2.777, intensity 799
31.84 deg, d 2.811, intensity 776
48.22 deg, d 1.887, intensity 597
18.78 deg, d 4.725, intensity 583
34.67 deg, d 2.587, intensity 579
59.54 deg, d 1.553, intensity 563
19.52 deg, d 4.548, intensity 555
29.51 deg, d 3.027, intensity 483

=====

2.
For Ca2CrOsO6, the PBE+U geometry in the Materials Project gives the theoretical XRD peak list in this record (a wavelength of 1.5418 Å).
Lines closer than 0.1° are merged.

Crystal structure
```
data_Ca2CrOsO6
_symmetry_space_group_name_H-M 'P 1 21/c 1'
_symmetry_Int_Tables_number 14
_symmetry_space_group_name_Hall '-P 2ybc'
_cell_length_a 4.8785
_cell_length_b 5.4115
_cell_length_c 10.6578
_cell_angle_alpha 90.00
_cell_angle_beta 113.25
_cell_angle_gamma 90.00
loop_
_atom_site_label
_atom_site_fract_x
_atom_site_fract_y
_atom_site_fract_z
Ca1 0.2214 0.0542 0.2427
Cr1 0.0000 0.0000 0.5000
Os1 0.5000 0.0000 0.0000
O1 0.1612 0.2116 0.9224
O2 0.2481 0.7268 0.9345
O3 0.2849 0.0454 0.6739
```

The 10 most intense peaks (2θ from 15° to 90°), by intensity:
31.48 deg, d 2.842, intensity 1000
29.95 deg, d 2.984, intensity 855
24.60 deg, d 3.619, intensity 593
18.12 deg, d 4.896, intensity 571
18.73 deg, d 4.736, intensity 478
33.11 deg, d 2.706, intensity 306
50.44 deg, d 1.809, intensity 306
36.71 deg, d 2.448, intensity 276
20.93 deg, d 4.244, intensity 272
32.01 deg, d 2.796, intensity 271